(1)
Starting from a crystal structure in Alexandria, relaxed with GGA-PBE, the X-ray powder pattern of Al2PAu was simulated for Cu Kα, 1.54184 Å.
Kinematic intensities with the Lorentz-polarization factor, no thermal factor.

Main lines, in order of rising 2θ (2θ = 15–90°):
| two_theta | d (Å) | I (rel.) | index |
| --- | --- | --- | --- |
| 26.72 | 3.336 | 61 | 0 1 1 |
| 27.46 | 3.248 | 70 | 1 0 1 |
| 30.26 | 2.953 | 34 | 0 0 4 |
| 34.40 | 2.607 | 59 | 0 1 3 |
| 35.00 | 2.564 | 41 | 1 0 3 |
| 37.10 | 2.423 | 27 | 1 1 0 |
| 40.23 | 2.242 | 100 | 1 1 2 |
| 46.47 | 1.954 | 24 | 0 1 5 |
| 46.93 | 1.936 | 28 | 1 0 5 |
| 48.60 | 1.873 | 21 | 1 1 4 |

abc: 3.3781 3.4778 11.8132
angles: 90.00 90.00 90.00
Space group Imm2 (No. 44)
One atom of each set of equivalent atoms:
1 Al 0.0000 0.0000 0.0000 [2 per cell]
2 Al 0.0000 0.5000 0.2211 [2 per cell]
3 P 0.0000 0.0000 0.5616 [2 per cell]
4 Au 0.0000 0.5000 0.8213 [2 per cell]

(2)
Starting from a crystal structure in Alexandria, relaxed with GGA-PBE, the X-ray powder pattern of Pa2AlAu6 was simulated for Cu Kα, 1.54184 Å.
Kinematic intensities with the Lorentz-polarization factor, no thermal factor.

Main lines, in order of rising 2θ (2θ = 15–90°):
| two_theta | d (Å) | I (rel.) | index |
| --- | --- | --- | --- |
| 32.88 | 2.724 | 37 | 2 0 0 |
| 33.05 | 2.710 | 17 | 0 0 2 |
| 36.92 | 2.435 | 100 | 0 2 1 |
| 37.04 | 2.427 | 23 | 1 0 2 |
| 47.30 | 1.922 | 13 | 2 0 2 |
| 56.08 | 1.640 | 9 | 1 2 2 |
| 58.68 | 1.573 | 19 | 2 2 0 |
| 58.94 | 1.567 | 9 | 1 1 3 |
| 69.02 | 1.361 | 10 | 2 2 2 |
| 71.41 | 1.321 | 19 | 4 0 1 |

abc: 6.2931 6.2931 5.4209
angles: 90.00 90.00 120.00
Space group P-3m1 (No. 164)
One atom of each set of equivalent atoms:
1 Pa 0.3333 0.6667 0.3310 [2 per cell]
2 Al 0.0000 0.0000 0.5000 [1 per cell]
3 Au 0.1820 0.3639 0.8071 [6 per cell]